Record 1
Pr2CuNi4Ge3: computed powder XRD pattern (Cu Kα, 1.54184 Å), based on a DFT-relaxed cell (PBE, Alexandria).

```
data_Pr2CuNi4Ge3
_space_group_name_H-M_alt 'P 1'
_space_group_IT_number 1
_space_group_name_Hall 'P 1'
_cell_length_a 4.186
_cell_length_b 4.186
_cell_length_c 9.598
_cell_angle_alpha 90.00
_cell_angle_beta 90.00
_cell_angle_gamma 90.00
loop_
_atom_site_label
_atom_site_fract_x
_atom_site_fract_y
_atom_site_fract_z
Pr1 0.000 0.500 0.247
Pr2 0.500 0.000 0.753
Cu1 0.500 0.500 0.000
Ni1 0.000 0.000 0.500
Ni2 0.000 0.500 0.873
Ni3 0.500 0.000 0.127
Ni4 0.500 0.500 0.500
Ge1 0.000 0.000 0.000
Ge2 0.000 0.500 0.626
Ge3 0.500 0.000 0.374
```

The 12 most intense peaks (2θ from 10° to 90°), low angle first:
2.960 Å, I 21, (1 1 0)
2.542 Å, I 74, (1 0 3)
2.519 Å, I 100, (1 1 2)
2.093 Å, I 64, (2 0 0)
1.864 Å, I 9, (1 1 4)
1.745 Å, I 25, (1 0 5)
1.616 Å, I 36, (2 1 3)
1.480 Å, I 20, (2 2 0)
1.407 Å, I 14, (1 1 6)
1.340 Å, I 20, (2 1 5)
1.276 Å, I 22, (3 1 2)
1.091 Å, I 10, (3 2 3)



Record 2
Sm3Br7Cl: computed powder XRD pattern (Cu Kα, 1.54184 Å), based on a DFT-relaxed cell (PBE, Alexandria).

```
data_Sm3Br7Cl
_space_group_name_H-M_alt 'P 1'
_space_group_IT_number 1
_space_group_name_Hall 'P 1'
_cell_length_a 8.352
_cell_length_b 8.352
_cell_length_c 7.033
_cell_angle_alpha 90.00
_cell_angle_beta 90.00
_cell_angle_gamma 120.00
loop_
_atom_site_label
_atom_site_fract_x
_atom_site_fract_y
_atom_site_fract_z
Sm1 0.002 0.501 0.000
Sm2 0.499 0.501 0.000
Sm3 0.499 0.998 0.000
Br1 0.172 0.344 0.233
Br2 0.172 0.828 0.233
Br3 0.344 0.172 0.769
Br4 0.656 0.828 0.233
Br5 0.667 0.333 0.241
Br6 0.828 0.172 0.769
Br7 0.828 0.656 0.769
Cl1 0.333 0.667 0.788
```

The 12 most intense peaks (2θ from 10° to 90°), low angle first:
7.233 Å, I 17, (1 0 0)
7.033 Å, I 64, (0 0 1)
5.042 Å, I 17, (1 0 1)
3.216 Å, I 100, (0 2 1)
2.521 Å, I 65, (0 2 2)
2.088 Å, I 36, (2 2 0)
2.002 Å, I 16, (2 2 1)
1.967 Å, I 30, (2 0 3)
1.751 Å, I 17, (4 0 1)
1.608 Å, I 16, (4 0 2)
1.345 Å, I 15, (2 2 4)
1.274 Å, I 15, (2 4 2)



Record 3
Mg3Zn3Rh2: computed powder XRD pattern (Cu Kα, 1.54184 Å), based on a DFT-relaxed cell (PBE, Alexandria).

```
data_Mg3Zn3Rh2
_space_group_name_H-M_alt 'P 1'
_space_group_IT_number 1
_space_group_name_Hall 'P 1'
_cell_length_a 6.321
_cell_length_b 16.228
_cell_length_c 5.329
_cell_angle_alpha 90.00
_cell_angle_beta 90.00
_cell_angle_gamma 90.00
loop_
_atom_site_label
_atom_site_fract_x
_atom_site_fract_y
_atom_site_fract_z
Mg1 0.017 0.117 0.128
Mg2 0.017 0.383 0.128
Mg3 0.173 0.250 0.652
Mg4 0.327 0.750 0.152
Mg5 0.483 0.617 0.628
Mg6 0.483 0.883 0.628
Mg7 0.517 0.117 0.372
Mg8 0.517 0.383 0.372
Mg9 0.673 0.250 0.848
Mg10 0.827 0.750 0.348
Mg11 0.983 0.617 0.872
Mg12 0.983 0.883 0.872
Zn1 0.183 0.750 0.637
Zn2 0.184 0.018 0.600
Zn3 0.184 0.482 0.600
Zn4 0.316 0.518 0.100
Zn5 0.316 0.982 0.100
Zn6 0.317 0.250 0.137
Zn7 0.683 0.750 0.863
Zn8 0.684 0.018 0.900
Zn9 0.684 0.482 0.900
Zn10 0.816 0.518 0.400
Zn11 0.816 0.982 0.400
Zn12 0.817 0.250 0.363
Rh1 0.118 0.622 0.369
Rh2 0.118 0.878 0.369
Rh3 0.382 0.122 0.869
Rh4 0.382 0.378 0.869
Rh5 0.618 0.622 0.131
Rh6 0.618 0.878 0.131
Rh7 0.882 0.122 0.631
Rh8 0.882 0.378 0.631
```

The 12 most intense peaks (2θ from 10° to 90°), low angle first:
4.074 Å, I 57, (1 0 1)
3.952 Å, I 39, (1 1 1)
3.796 Å, I 49, (0 3 1)
3.102 Å, I 34, (2 1 0)
2.493 Å, I 35, (2 4 0)
2.428 Å, I 29, (1 1 2)
2.258 Å, I 85, (2 4 1)
2.236 Å, I 40, (1 3 2)
2.101 Å, I 100, (1 4 2)
2.029 Å, I 39, (0 8 0)
2.015 Å, I 27, (1 7 1)
1.959 Å, I 39, (3 0 1)



Record 4
NaCa6TiSi4O18: computed powder XRD pattern (Cu Kα, 1.54184 Å), based on a DFT-relaxed cell (PBE, Alexandria).

```
data_NaCa6TiSi4O18
_space_group_name_H-M_alt 'P 1'
_space_group_IT_number 1
_space_group_name_Hall 'P 1'
_cell_length_a 5.692
_cell_length_b 7.592
_cell_length_c 9.818
_cell_angle_alpha 78.35
_cell_angle_beta 79.52
_cell_angle_gamma 89.42
loop_
_atom_site_label
_atom_site_fract_x
_atom_site_fract_y
_atom_site_fract_z
Na1 0.000 0.000 0.000
Ca1 0.193 0.905 0.373
Ca2 0.208 0.409 0.355
Ca3 0.490 0.697 0.027
Ca4 0.510 0.303 0.973
Ca5 0.792 0.591 0.645
Ca6 0.807 0.095 0.627
Ti1 0.000 0.500 0.000
Si1 0.245 0.274 0.728
Si2 0.260 0.850 0.720
Si3 0.740 0.150 0.280
Si4 0.755 0.726 0.272
O1 0.080 0.826 0.612
O2 0.093 0.363 0.609
O3 0.147 0.320 0.886
O4 0.171 0.052 0.760
O5 0.207 0.709 0.874
O6 0.247 0.455 0.109
O7 0.397 0.995 0.050
O8 0.457 0.145 0.346
O9 0.465 0.692 0.302
O10 0.535 0.308 0.698
O11 0.543 0.855 0.654
O12 0.603 0.005 0.950
O13 0.753 0.545 0.891
O14 0.793 0.291 0.126
O15 0.829 0.948 0.240
O16 0.853 0.680 0.114
O17 0.907 0.637 0.391
O18 0.920 0.174 0.388
```

The 12 most intense peaks (2θ from 10° to 90°), low angle first:
5.338 Å, I 26, (0 1 -1)
4.469 Å, I 21, (1 0 -1)
3.151 Å, I 97, (0 0 3)
3.057 Å, I 83, (1 2 0)
3.040 Å, I 100, (-1 2 1)
2.990 Å, I 27, (1 0 3)
2.828 Å, I 25, (2 0 1)
2.628 Å, I 49, (2 0 2)
2.562 Å, I 21, (1 2 3)
1.953 Å, I 32, (-1 2 4)
1.949 Å, I 23, (1 2 -3)
1.898 Å, I 53, (0 4 1)